# HoTm2SbO6
Simulated X-ray diffraction stick pattern, Cu Kα. Input: a structure optimized by DFT (PBE).
No peak broadening, texture or thermal motion is included.

Structural model:
```
data_HoTm2SbO6
_chemical_formula_sum 'Ho1 Tm2 Sb1 O6'
_cell_length_a 3.5364
_cell_length_b 5.7863
_cell_length_c 6.7169
_cell_angle_alpha 88.15
_cell_angle_beta 79.33
_cell_angle_gamma 87.59
_space_group_name_H-M_alt 'P -1'
_space_group_IT_number 2
loop_
_space_group_symop_operation_xyz
'x,y,z'
'-x,-y,-z'
loop_
_atom_site_label
_atom_site_type_symbol
_atom_site_fract_x
_atom_site_fract_y
_atom_site_fract_z
Ho1 Ho 0.0000 0.0000 0.0000
Tm1 Tm 0.3225 0.4772 0.2610
Sb1 Sb 0.5000 0.0000 0.5000
O1 O 0.0039 0.8512 0.6963
O2 O 0.2324 0.3540 0.6194
O3 O 0.4732 0.7408 0.0196
```

Main lines, in order of rising 2θ (2θ = 10–90°):
| (hkl) | Position (°2θ) | intensity |
| --- | --- | --- |
| 1 1 1 | 30.3 | 52.7 |
| 0 1 2 | 30.9 | 100.0 |
| 1 0 -1 | 31.2 | 40.2 |
| 0 1 -2 | 31.6 | 90.0 |
| 1 2 -1 | 44.1 | 26.2 |
| 1 0 3 | 44.5 | 18.7 |
| -1 2 1 | 45.0 | 18.0 |
| 0 3 2 | 54.6 | 20.7 |
| -1 1 3 | 55.7 | 33.6 |
| 0 3 -2 | 55.9 | 17.3 |